Diffraction record for Hg2N2F. The powder diffractogram is computed, not measured: it uses DFT lattice parameters and positions (PBE) and Cu Kα X-rays.

Crystal structure
Cell: 2.905 3.450 13.020 Å, 95.73 91.88 110.40°
Space group P-1 (No. 2)
Asymmetric unit:
Hg 0.244 0.019 0.356 (multiplicity 2)
N 0.003 0.017 0.958 (multiplicity 2)
F 0.000 0.500 0.500 (multiplicity 1)

Main lines, sorted by position (2θ from 10° to 90°):
- 2θ = 20.62°, rel. 100, hkl 0 0 3
- 2θ = 27.62°, rel. 39, hkl 0 0 4
- 2θ = 27.79°, rel. 71, hkl 0 1 0
- 2θ = 32.75°, rel. 43, hkl 0 1 -3
- 2θ = 33.21°, rel. 23, hkl 1 0 -1
- 2θ = 34.23°, rel. 22, hkl 1 0 1
- 2θ = 34.90°, rel. 26, hkl 1 0 -2
- 2θ = 36.83°, rel. 59, hkl 1 0 2
- 2θ = 37.32°, rel. 24, hkl 1 -1 2
- 2θ = 38.03°, rel. 26, hkl -1 1 2
- 2θ = 41.95°, rel. 33, hkl 0 1 4
- 2θ = 49.36°, rel. 28, hkl 0 0 7

***

Diffraction record for HgNF4. The powder diffractogram is computed, not measured: it uses DFT lattice parameters and positions (PBE) and Cu Kα X-rays.

Crystal structure
Cell: 5.033 6.643 7.710 Å, 75.01 80.37 69.16°
Space group P-1 (No. 2)
Asymmetric unit:
Hg 0.157 0.228 0.449 (multiplicity 2)
N 0.354 0.788 0.016 (multiplicity 2)
F 0.055 0.549 0.311 (multiplicity 2)
F 0.237 0.940 0.125 (multiplicity 2)
F 0.282 0.894 0.564 (multiplicity 2)
F 0.406 0.356 0.902 (multiplicity 2)

Main lines, sorted by position (2θ from 10° to 90°):
- 2θ = 11.92°, rel. 100, hkl 0 0 1
- 2θ = 19.78°, rel. 22, hkl 1 1 0
- 2θ = 21.56°, rel. 35, hkl 1 0 1
- 2θ = 23.98°, rel. 25, hkl 0 0 2
- 2θ = 25.29°, rel. 25, hkl 0 1 2
- 2θ = 25.54°, rel. 27, hkl 1 1 -1
- 2θ = 28.55°, rel. 17, hkl 1 2 1
- 2θ = 29.48°, rel. 36, hkl 0 2 0
- 2θ = 36.14°, rel. 24, hkl 2 1 1
- 2θ = 36.28°, rel. 19, hkl 2 1 0
- 2θ = 40.32°, rel. 14, hkl 1 2 3
- 2θ = 47.55°, rel. 16, hkl 2 0 -2

***

Diffraction record for Hg5N2F3. The powder diffractogram is computed, not measured: it uses DFT lattice parameters and positions (PBE) and Cu Kα X-rays.

Crystal structure
Cell: 6.435 7.100 10.329 Å, 89.78 84.36 86.14°
Space group P-1 (No. 2)
Asymmetric unit:
Hg 0.090 0.260 0.436 (multiplicity 2)
Hg 0.206 0.205 0.753 (multiplicity 2)
Hg 0.218 0.122 0.087 (multiplicity 2)
Hg 0.249 0.558 0.949 (multiplicity 2)
Hg 0.364 0.804 0.498 (multiplicity 2)
N 0.116 0.298 0.943 (multiplicity 2)
N 0.294 0.129 0.560 (multiplicity 2)
F 0.038 0.602 0.724 (multiplicity 2)
F 0.253 0.964 0.254 (multiplicity 2)
F 0.376 0.821 0.934 (multiplicity 2)

Main lines, sorted by position (2θ from 10° to 90°):
- 2θ = 17.25°, rel. 60, hkl 0 0 2
- 2θ = 18.06°, rel. 24, hkl 1 1 0
- 2θ = 25.07°, rel. 93, hkl 1 -1 2
- 2θ = 26.63°, rel. 63, hkl 0 2 1
- 2θ = 27.94°, rel. 56, hkl 2 0 0
- 2θ = 28.96°, rel. 100, hkl 0 1 3
- 2θ = 29.90°, rel. 39, hkl 2 1 0
- 2θ = 30.70°, rel. 33, hkl 1 1 3
- 2θ = 31.34°, rel. 31, hkl -1 2 1
- 2θ = 37.50°, rel. 29, hkl -2 1 2
- 2θ = 38.12°, rel. 33, hkl 2 1 3
- 2θ = 38.87°, rel. 37, hkl 1 -1 4

***

Diffraction record for HgNF. The powder diffractogram is computed, not measured: it uses DFT lattice parameters and positions (PBE) and Cu Kα X-rays.

Crystal structure
Cell: 3.713 3.795 10.791 Å, 81.35 89.96 60.77°
Space group P1 (No. 1)
Asymmetric unit:
Hg 0.000 0.000 0.000 (multiplicity 1)
Hg 0.116 0.777 0.776 (multiplicity 1)
N 0.164 0.672 0.335 (multiplicity 1)
N 0.279 0.448 0.425 (multiplicity 1)
F 0.727 0.552 0.674 (multiplicity 1)
F 0.738 0.525 0.103 (multiplicity 1)

Main lines, sorted by position (2θ from 10° to 90°):
- 2θ = 25.13°, rel. 29, hkl 0 0 3
- 2θ = 27.34°, rel. 28, hkl 0 1 0
- 2θ = 27.65°, rel. 100, hkl 1 1 0
- 2θ = 28.21°, rel. 23, hkl 1 1 1
- 2θ = 29.60°, rel. 91, hkl 1 0 1
- 2θ = 30.00°, rel. 48, hkl 0 1 -1
- 2θ = 33.71°, rel. 49, hkl 0 0 4
- 2θ = 34.00°, rel. 26, hkl 0 1 3
- 2θ = 36.02°, rel. 35, hkl 1 0 -3
- 2θ = 42.17°, rel. 39, hkl 1 1 4
- 2θ = 49.05°, rel. 36, hkl 2 1 0
- 2θ = 51.62°, rel. 24, hkl 1 2 3

***

Diffraction record for Na5HgF8. The powder diffractogram is computed, not measured: it uses DFT lattice parameters and positions (PBE) and Cu Kα X-rays.

Crystal structure
Cell: 7.063 7.063 7.217 Å, 90.00 90.00 90.00°
Space group I-4 (No. 82)
Asymmetric unit:
Na 0.000 0.000 0.000 (multiplicity 2)
Na 0.119 0.265 0.376 (multiplicity 8)
Hg 0.000 0.500 0.750 (multiplicity 2)
F 0.046 0.197 0.693 (multiplicity 8)
F 0.074 0.317 0.059 (multiplicity 8)

Main lines, sorted by position (2θ from 10° to 90°):
- 2θ = 17.57°, rel. 100, hkl 1 0 1
- 2θ = 17.76°, rel. 55, hkl 1 1 0
- 2θ = 25.22°, rel. 23, hkl 2 0 0
- 2θ = 30.56°, rel. 30, hkl 1 1 2
- 2θ = 30.90°, rel. 64, hkl 1 2 1
- 2θ = 35.57°, rel. 19, hkl 2 0 2
- 2θ = 39.57°, rel. 40, hkl 1 0 3
- 2θ = 40.32°, rel. 58, hkl 3 0 1
- 2θ = 47.90°, rel. 36, hkl 1 3 2
- 2θ = 48.13°, rel. 23, hkl 2 3 1
- 2θ = 55.12°, rel. 16, hkl 3 3 0
- 2θ = 67.58°, rel. 16, hkl 3 4 1

***

Diffraction record for Na6Hg3F14. The powder diffractogram is computed, not measured: it uses DFT lattice parameters and positions (PBE) and Cu Kα X-rays.

Crystal structure
Cell: 8.6116 8.6116 5.8099 Å, 90.00 90.00 120.00°
Space group P3 (No. 143)
Asymmetric unit:
Na 0.0570 0.4559 0.0000 (multiplicity 3)
Na 0.2390 0.2210 0.4927 (multiplicity 3)
Hg 0.0000 0.0000 0.0253 (multiplicity 1)
Hg 0.3333 0.6667 0.5392 (multiplicity 1)
Hg 0.6667 0.3333 0.5112 (multiplicity 1)
F 0.0000 0.0000 0.6612 (multiplicity 1)
F 0.0312 0.2275 0.2476 (multiplicity 3)
F 0.1565 0.7251 0.7684 (multiplicity 3)
F 0.3333 0.6667 0.1748 (multiplicity 1)
F 0.4390 0.1705 0.7212 (multiplicity 3)
F 0.5002 0.3959 0.3038 (multiplicity 3)

Main lines, sorted by position (2θ from 10° to 90°):
- 2θ = 19.37°, rel. 84, hkl 1 0 1
- 2θ = 20.63°, rel. 100, hkl 1 1 0
- 2θ = 28.44°, rel. 57, hkl 0 2 1
- 2θ = 35.39°, rel. 56, hkl 3 -2 1
- 2θ = 36.13°, rel. 26, hkl 3 0 0
- 2θ = 37.34°, rel. 46, hkl 2 -1 2
- 2θ = 46.61°, rel. 20, hkl 4 -3 1
- 2θ = 48.18°, rel. 29, hkl 0 3 2
- 2θ = 52.94°, rel. 19, hkl 4 -2 2
- 2θ = 56.55°, rel. 25, hkl 1 4 0
- 2θ = 57.76°, rel. 19, hkl 2 1 3
- 2θ = 65.77°, rel. 18, hkl 4 1 2

***

Diffraction record for Na4HgF2. The powder diffractogram is computed, not measured: it uses DFT lattice parameters and positions (PBE) and Cu Kα X-rays.

Crystal structure
Cell: 5.544 5.544 13.298 Å, 90.00 90.00 90.00°
Space group I4/mmm (No. 139)
Asymmetric unit:
Na 0.000 0.000 0.241 (multiplicity 4)
Na 0.000 0.500 0.000 (multiplicity 4)
Hg 0.000 0.000 0.000 (multiplicity 2)
F 0.000 0.000 0.397 (multiplicity 4)

Main lines, sorted by position (2θ from 10° to 90°):
- 2θ = 13.32°, rel. 71, hkl 0 0 2
- 2θ = 17.33°, rel. 100, hkl 1 0 1
- 2θ = 22.68°, rel. 56, hkl 1 1 0
- 2θ = 25.73°, rel. 61, hkl 1 0 3
- 2θ = 26.82°, rel. 22, hkl 0 0 4
- 2θ = 32.30°, rel. 46, hkl 2 0 0
- 2θ = 35.07°, rel. 29, hkl 2 0 2
- 2θ = 36.88°, rel. 33, hkl 2 1 1
- 2θ = 37.51°, rel. 34, hkl 1 0 5
- 2θ = 41.74°, rel. 34, hkl 2 1 3
- 2θ = 42.46°, rel. 27, hkl 2 0 4
- 2θ = 50.31°, rel. 29, hkl 2 1 5

***

Diffraction record for NaHg4F12. The powder diffractogram is computed, not measured: it uses DFT lattice parameters and positions (PBE) and Cu Kα X-rays.

Crystal structure
Cell: 8.638 8.638 8.638 Å, 90.00 90.00 90.00°
Space group Im-3 (No. 204)
Asymmetric unit:
Na 0.000 0.000 0.000 (multiplicity 2)
Hg 0.250 0.250 0.250 (multiplicity 8)
F 0.000 0.202 0.261 (multiplicity 24)

Main lines, sorted by position (2θ from 10° to 90°):
- 2θ = 20.57°, rel. 100, hkl 2 0 0
- 2θ = 29.24°, rel. 66, hkl 2 2 0
- 2θ = 36.02°, rel. 16, hkl 2 2 2
- 2θ = 41.83°, rel. 23, hkl 4 0 0
- 2θ = 47.05°, rel. 47, hkl 4 0 2
- 2θ = 51.86°, rel. 32, hkl 4 2 2
- 2θ = 60.65°, rel. 14, hkl 4 4 0
- 2θ = 64.76°, rel. 22, hkl 4 4 2
- 2θ = 68.73°, rel. 13, hkl 6 0 2
- 2θ = 72.60°, rel. 9, hkl 6 2 2
- 2θ = 80.12°, rel. 9, hkl 6 4 0
- 2θ = 83.81°, rel. 17, hkl 6 4 2

***

Diffraction record for NaHg2F4. The powder diffractogram is computed, not measured: it uses DFT lattice parameters and positions (PBE) and Cu Kα X-rays.

Crystal structure
Cell: 10.049 10.055 7.107 Å, 90.00 134.69 90.00°
Space group C2/c (No. 15)
Asymmetric unit:
Na 0.000 0.124 0.250 (multiplicity 4)
Hg 0.000 0.500 0.000 (multiplicity 4)
Hg 0.250 0.250 0.000 (multiplicity 4)
F 0.001 0.254 0.512 (multiplicity 8)
F 0.240 0.494 0.989 (multiplicity 8)

Main lines, sorted by position (2θ from 10° to 90°):
- 2θ = 15.24°, rel. 100, hkl 1 1 -1
- 2θ = 29.34°, rel. 29, hkl 1 1 -2
- 2θ = 29.46°, rel. 59, hkl 1 3 0
- 2θ = 30.70°, rel. 29, hkl 2 2 0
- 2θ = 30.81°, rel. 28, hkl 2 2 -2
- 2θ = 35.53°, rel. 20, hkl 0 0 2
- 2θ = 35.73°, rel. 39, hkl 0 4 0
- 2θ = 39.04°, rel. 19, hkl 3 3 -2
- 2θ = 46.96°, rel. 22, hkl 5 1 -3
- 2θ = 51.27°, rel. 17, hkl 0 4 2
- 2θ = 51.42°, rel. 25, hkl 4 4 -2
- 2θ = 53.92°, rel. 10, hkl 3 5 -1

***

Diffraction record for Na2Hg4F9. The powder diffractogram is computed, not measured: it uses DFT lattice parameters and positions (PBE) and Cu Kα X-rays.

Crystal structure
Cell: 6.067 6.069 15.557 Å, 89.97 89.99 60.01°
Space group P-1 (No. 2)
Asymmetric unit:
Na 0.000 0.000 0.146 (multiplicity 2)
Na 0.000 0.000 0.354 (multiplicity 2)
Hg 0.333 0.333 0.029 (multiplicity 2)
Hg 0.333 0.333 0.307 (multiplicity 2)
Hg 0.333 0.334 0.529 (multiplicity 2)
Hg 0.333 0.334 0.807 (multiplicity 2)
F 0.000 0.293 0.750 (multiplicity 2)
F 0.041 0.327 0.416 (multiplicity 2)
F 0.041 0.632 0.916 (multiplicity 2)
F 0.293 0.708 0.750 (multiplicity 2)
F 0.293 0.999 0.250 (multiplicity 2)
F 0.327 0.042 0.916 (multiplicity 2)
F 0.328 0.631 0.415 (multiplicity 2)
F 0.368 0.672 0.084 (multiplicity 2)
F 0.369 0.959 0.584 (multiplicity 2)

Main lines, sorted by position (2θ from 10° to 90°):
- 2θ = 16.87°, rel. 58, hkl 1 1 0
- 2θ = 20.39°, rel. 12, hkl 1 1 2
- 2θ = 28.55°, rel. 100, hkl 1 0 4
- 2θ = 29.44°, rel. 76, hkl 2 1 0
- 2θ = 34.12°, rel. 11, hkl 2 0 0
- 2θ = 37.60°, rel. 14, hkl 1 2 4
- 2θ = 41.47°, rel. 43, hkl 2 2 4
- 2θ = 46.05°, rel. 21, hkl 2 1 6
- 2θ = 50.01°, rel. 15, hkl 1 1 8
- 2θ = 51.67°, rel. 44, hkl 3 1 4
- 2θ = 52.22°, rel. 26, hkl 3 3 0
- 2θ = 68.78°, rel. 17, hkl 4 3 4